Record 1
For K3NaCr2O8, a structure optimized by DFT (PBE+U) gives the calculated powder diffraction line list in this record (copper Kα).
Lines closer than 0.1° are merged.

Main lines, in order of rising 2θ (2θ from 10° to 90°):
2θ = 17.14°, d = 5.174 Å, rel. 11, (1 1 0); 2θ = 20.76°, d = 4.278 Å, rel. 36, (2 0 -2); 2θ = 23.40°, d = 3.802 Å, rel. 16, (0 0 4); 2θ = 29.08°, d = 3.071 Å, rel. 21, (2 0 -4); 2θ = 29.19°, d = 3.060 Å, rel. 38, (1 1 4); 2θ = 29.91°, d = 2.987 Å, rel. 100, (3 1 0); 2θ = 42.26°, d = 2.139 Å, rel. 48, (4 0 4); 2θ = 52.70°, d = 1.737 Å, rel. 11, (4 2 4); 2θ = 53.15°, d = 1.723 Å, rel. 11, (3 3 0); 2θ = 62.10°, d = 1.495 Å, rel. 13, (6 2 0)

Atomic structure:
```
data_K3NaCr2O8
_chemical_formula_sum 'K12 Na4 Cr8 O32'
_cell_length_a 10.363
_cell_length_b 5.965
_cell_length_c 15.209
_cell_angle_alpha 90.00
_cell_angle_beta 90.25
_cell_angle_gamma 90.00
_space_group_name_H-M_alt 'C 1 2/c 1'
_space_group_IT_number 15
_space_group_name_Hall '-C 2yc'
loop_
_atom_site_label
_atom_site_type_symbol
_atom_site_fract_x
_atom_site_fract_y
_atom_site_fract_z
K1 K 0.000 0.018 0.250
K2 K 0.167 0.495 0.586
Na1 Na 0.000 0.000 0.000
Cr1 Cr 0.165 0.495 0.864
O1 O 0.089 0.262 0.896
O2 O 0.089 0.283 0.407
O3 O 0.167 0.487 0.256
O4 O 0.183 0.010 0.097
```

Record 2
For Li2NiSnP2O8, a structure optimized by DFT (PBE+U) gives the calculated powder diffraction line list in this record (copper Kα).
Lines closer than 0.1° are merged.

Main lines, in order of rising 2θ (2θ from 10° to 90°):
2θ = 16.34°, d = 5.426 Å, rel. 67, (0 0 2); 2θ = 20.24°, d = 4.388 Å, rel. 26, (1 0 1); 2θ = 24.45°, d = 3.640 Å, rel. 99, (1 1 -1); 2θ = 24.63°, d = 3.614 Å, rel. 100, (1 1 1); 2θ = 28.01°, d = 3.186 Å, rel. 86, (0 2 0); 2θ = 33.79°, d = 2.653 Å, rel. 78, (1 1 -3); 2θ = 34.22°, d = 2.620 Å, rel. 64, (1 1 3); 2θ = 35.98°, d = 2.496 Å, rel. 27, (0 1 4); 2θ = 37.79°, d = 2.381 Å, rel. 28, (1 0 -4); 2θ = 50.11°, d = 1.821 Å, rel. 36, (2 2 -2)

Atomic structure:
```
data_Li2NiSnP2O8
_chemical_formula_sum 'Li4 Ni2 Sn2 P4 O16'
_cell_length_a 4.831
_cell_length_b 6.372
_cell_length_c 10.854
_cell_angle_alpha 90.00
_cell_angle_beta 90.88
_cell_angle_gamma 90.00
_space_group_name_H-M_alt 'P 1 21/m 1'
_space_group_IT_number 11
_space_group_name_Hall '-P 2yb'
loop_
_atom_site_label
_atom_site_type_symbol
_atom_site_fract_x
_atom_site_fract_y
_atom_site_fract_z
Li1 Li 0.000 0.000 0.000
Li2 Li 0.500 0.000 0.500
Ni1 Ni 0.031 0.250 0.714
Sn1 Sn 0.484 0.250 0.225
P1 P 0.072 0.750 0.573
P2 P 0.367 0.750 0.107
O1 O 0.194 0.552 0.644
O2 O 0.207 0.750 0.443
O3 O 0.221 0.559 0.171
O4 O 0.246 0.250 0.430
O5 O 0.258 0.750 0.971
O6 O 0.316 0.250 0.880
```

Record 3
For MgV2O4, a structure optimized by DFT (PBE+U) gives the calculated powder diffraction line list in this record (copper Kα).
Lines closer than 0.1° are merged.

Main lines, in order of rising 2θ (2θ from 10° to 90°):
2θ = 17.73°, d = 5.002 Å, rel. 30, (0 0 2); 2θ = 32.35°, d = 2.768 Å, rel. 25, (1 1 0); 2θ = 32.49°, d = 2.756 Å, rel. 100, (0 2 3); 2θ = 40.50°, d = 2.227 Å, rel. 19, (0 2 4); 2θ = 41.79°, d = 2.161 Å, rel. 25, (1 3 0); 2θ = 42.80°, d = 2.113 Å, rel. 46, (1 3 1); 2θ = 45.73°, d = 1.984 Å, rel. 50, (1 3 2); 2θ = 56.78°, d = 1.621 Å, rel. 23, (1 1 5); 2θ = 63.48°, d = 1.465 Å, rel. 24, (0 6 3); 2θ = 63.89°, d = 1.457 Å, rel. 19, (1 5 3)

Atomic structure:
```
data_MgV2O4
_chemical_formula_sum 'Mg4 V8 O16'
_cell_length_a 2.886
_cell_length_b 9.788
_cell_length_c 10.005
_cell_angle_alpha 90.00
_cell_angle_beta 90.00
_cell_angle_gamma 90.00
_space_group_name_H-M_alt 'C m c m'
_space_group_IT_number 63
_space_group_name_Hall '-C 2c 2'
loop_
_atom_site_label
_atom_site_type_symbol
_atom_site_fract_x
_atom_site_fract_y
_atom_site_fract_z
Mg1 Mg 0.000 0.117 0.250
V1 V 0.000 0.369 0.074
O1 O 0.000 0.000 0.000
O2 O 0.000 0.273 0.615
O3 O 0.000 0.464 0.250
```

Record 4
For LiMnP3O9, a structure optimized by DFT (PBE+U) gives the calculated powder diffraction line list in this record (copper Kα).
Lines closer than 0.1° are merged.

Main lines, in order of rising 2θ (2θ from 10° to 90°):
2θ = 15.86°, d = 5.586 Å, rel. 100, (1 0 1); 2θ = 16.97°, d = 5.224 Å, rel. 59, (1 1 0); 2θ = 23.31°, d = 3.815 Å, rel. 12, (0 2 1); 2θ = 28.98°, d = 3.081 Å, rel. 31, (2 1 1); 2θ = 29.62°, d = 3.016 Å, rel. 8, (3 0 0); 2θ = 32.04°, d = 2.793 Å, rel. 26, (2 0 2); 2θ = 38.03°, d = 2.366 Å, rel. 21, (0 0 3); 2θ = 41.90°, d = 2.156 Å, rel. 10, (1 1 3); 2θ = 44.20°, d = 2.049 Å, rel. 9, (4 -1 2); 2θ = 64.29°, d = 1.449 Å, rel. 10, (5 2 0)

Atomic structure:
```
data_LiMnP3O9
_chemical_formula_sum 'Li3 Mn3 P9 O27'
_cell_length_a 10.4474
_cell_length_b 10.4474
_cell_length_c 7.1016
_cell_angle_alpha 90.00
_cell_angle_beta 90.00
_cell_angle_gamma 120.00
_space_group_name_H-M_alt 'R 3'
_space_group_IT_number 146
_space_group_name_Hall 'R 3'
loop_
_atom_site_label
_atom_site_type_symbol
_atom_site_fract_x
_atom_site_fract_y
_atom_site_fract_z
Li1 Li 0.0000 0.0000 0.0000
Mn1 Mn 0.0000 0.0000 0.3768
P1 P 0.0997 0.7647 0.1964
O1 O 0.0463 0.7012 0.4060
O2 O 0.0648 0.8853 0.1545
O3 O 0.2054 0.4604 0.1793
```

Record 5
For MgFe4P12O36, a structure optimized by DFT (PBE+U) gives the calculated powder diffraction line list in this record (copper Kα).
Lines closer than 0.1° are merged.

Main lines, in order of rising 2θ (2θ from 10° to 90°):
2θ = 22.48°, d = 3.955 Å, rel. 78, (1 0 2); 2θ = 22.75°, d = 3.908 Å, rel. 100, (1 0 -2); 2θ = 22.87°, d = 3.888 Å, rel. 64, (1 2 0); 2θ = 23.04°, d = 3.861 Å, rel. 78, (1 -2 0); 2θ = 23.17°, d = 3.839 Å, rel. 31, (2 -1 0); 2θ = 24.99°, d = 3.563 Å, rel. 32, (2 1 1); 2θ = 25.18°, d = 3.537 Å, rel. 39, (2 -1 1); 2θ = 32.02°, d = 2.795 Å, rel. 25, (0 1 3); 2θ = 32.57°, d = 2.749 Å, rel. 41, (1 3 0); 2θ = 32.73°, d = 2.736 Å, rel. 58, (3 0 1)

Atomic structure:
```
data_MgFe4P12O36
_chemical_formula_sum 'Mg1 Fe4 P12 O36'
_cell_length_a 8.598
_cell_length_b 8.678
_cell_length_c 8.843
_cell_angle_alpha 89.71
_cell_angle_beta 89.16
_cell_angle_gamma 89.47
_space_group_name_H-M_alt 'P 1'
_space_group_IT_number 1
_space_group_name_Hall 'P 1'
loop_
_atom_site_label
_atom_site_type_symbol
_atom_site_fract_x
_atom_site_fract_y
_atom_site_fract_z
Mg1 Mg 0.000 0.000 0.000
Fe1 Fe 0.142 0.163 0.602
Fe2 Fe 0.390 0.878 0.104
Fe3 Fe 0.635 0.376 0.303
Fe4 Fe 0.872 0.651 0.802
P1 P 0.037 0.687 0.145
P2 P 0.194 0.535 0.649
P3 P 0.221 0.218 0.017
P4 P 0.304 0.826 0.506
P5 P 0.332 0.510 0.134
P6 P 0.472 0.338 0.649
P7 P 0.537 0.846 0.761
P8 P 0.697 0.002 0.266
P9 P 0.706 0.321 0.903
P10 P 0.802 0.703 0.401
P11 P 0.816 0.036 0.749
P12 P 0.977 0.206 0.276
O1 O 0.054 0.239 0.112
O2 O 0.102 0.155 0.380
O3 O 0.115 0.616 0.777
O4 O 0.116 0.393 0.586
O5 O 0.123 0.833 0.094
O6 O 0.152 0.157 0.871
O7 O 0.162 0.559 0.198
O8 O 0.195 0.938 0.587
O9 O 0.229 0.655 0.513
O10 O 0.281 0.388 0.002
O11 O 0.327 0.116 0.103
O12 O 0.350 0.854 0.345
O13 O 0.366 0.205 0.613
O14 O 0.369 0.486 0.697
O15 O 0.410 0.421 0.260
O16 O 0.412 0.641 0.059
O17 O 0.420 0.914 0.867
O18 O 0.460 0.803 0.602
O19 O 0.548 0.296 0.808
O20 O 0.591 0.381 0.531
O21 O 0.620 0.141 0.333
O22 O 0.634 0.925 0.130
O23 O 0.638 0.715 0.809
O24 O 0.652 0.986 0.693
O25 O 0.662 0.343 0.066
O26 O 0.693 0.599 0.317
O27 O 0.733 0.880 0.396
O28 O 0.782 0.145 0.895
O29 O 0.813 0.422 0.817
O30 O 0.845 0.672 0.559
O31 O 0.868 0.334 0.319
O32 O 0.879 0.055 0.215
O33 O 0.904 0.904 0.826
O34 O 0.907 0.122 0.630
O35 O 0.919 0.627 0.040
O36 O 0.962 0.727 0.306
```

Record 6
For VF5, a structure optimized by DFT (PBE+U) gives the calculated powder diffraction line list in this record (copper Kα).
Lines closer than 0.1° are merged.

Main lines, in order of rising 2θ (2θ from 10° to 90°):
2θ = 18.61°, d = 4.769 Å, rel. 57, (0 0 2); 2θ = 19.51°, d = 4.549 Å, rel. 100, (0 1 1); 2θ = 25.81°, d = 3.452 Å, rel. 25, (2 0 0); 2θ = 25.96°, d = 3.432 Å, rel. 24, (2 0 -2); 2θ = 29.73°, d = 3.005 Å, rel. 18, (2 1 -1); 2θ = 33.07°, d = 2.709 Å, rel. 9, (0 1 3); 2θ = 39.44°, d = 2.284 Å, rel. 30, (1 1 -4); 2θ = 40.93°, d = 2.205 Å, rel. 17, (3 1 -2); 2θ = 51.73°, d = 1.767 Å, rel. 11, (2 2 2); 2θ = 53.51°, d = 1.712 Å, rel. 9, (4 1 -1)

Atomic structure:
```
data_VF5
_chemical_formula_sum 'V4 F20'
_cell_length_a 7.381
_cell_length_b 5.175
_cell_length_c 10.197
_cell_angle_alpha 90.00
_cell_angle_beta 110.72
_cell_angle_gamma 90.00
_space_group_name_H-M_alt 'P 1 21/c 1'
_space_group_IT_number 14
_space_group_name_Hall '-P 2ybc'
loop_
_atom_site_label
_atom_site_type_symbol
_atom_site_fract_x
_atom_site_fract_y
_atom_site_fract_z
V1 V 0.000 0.000 0.000
V2 V 0.500 0.000 0.000
F1 F 0.037 0.166 0.159
F2 F 0.119 0.725 0.095
F3 F 0.249 0.132 0.998
F4 F 0.385 0.714 0.916
F5 F 0.459 0.144 0.835
```

Record 7
For Li2MnCr3O8, a structure optimized by DFT (PBE+U) gives the calculated powder diffraction line list in this record (copper Kα).
Lines closer than 0.1° are merged.

Main lines, in order of rising 2θ (2θ from 10° to 90°):
2θ = 18.50°, d = 4.796 Å, rel. 100, (1 1 1); 2θ = 35.85°, d = 2.505 Å, rel. 45, (3 1 1); 2θ = 37.51°, d = 2.398 Å, rel. 9, (2 2 2); 2θ = 43.58°, d = 2.077 Å, rel. 54, (4 0 0); 2θ = 47.72°, d = 1.906 Å, rel. 9, (3 3 1); 2θ = 57.66°, d = 1.599 Å, rel. 20, (5 1 1); 2θ = 63.34°, d = 1.468 Å, rel. 31, (4 4 0); 2θ = 66.60°, d = 1.404 Å, rel. 13, (5 3 1); 2θ = 80.03°, d = 1.199 Å, rel. 8, (4 4 4); 2θ = 83.02°, d = 1.163 Å, rel. 7, (5 5 1)

Atomic structure:
```
data_Li2MnCr3O8
_chemical_formula_sum 'Li8 Mn4 Cr12 O32'
_cell_length_a 8.307
_cell_length_b 8.307
_cell_length_c 8.307
_cell_angle_alpha 90.00
_cell_angle_beta 90.00
_cell_angle_gamma 90.00
_space_group_name_H-M_alt 'P 43 3 2'
_space_group_IT_number 212
_space_group_name_Hall 'P 4acd 2ab 3'
loop_
_atom_site_label
_atom_site_type_symbol
_atom_site_fract_x
_atom_site_fract_y
_atom_site_fract_z
Li1 Li 0.001 0.001 0.001
Mn1 Mn 0.125 0.875 0.375
Cr1 Cr 0.124 0.625 0.126
O1 O 0.108 0.390 0.114
O2 O 0.112 0.612 0.888
```

Record 8
For FeP4O12, a structure optimized by DFT (PBE+U) gives the calculated powder diffraction line list in this record (copper Kα).
Lines closer than 0.1° are merged.

Main lines, in order of rising 2θ (2θ from 10° to 90°):
2θ = 10.60°, d = 8.343 Å, rel. 36, (2 0 0); 2θ = 14.32°, d = 6.187 Å, rel. 100, (0 2 0); 2θ = 17.48°, d = 5.073 Å, rel. 36, (3 1 0); 2θ = 19.11°, d = 4.644 Å, rel. 14, (2 0 -1); 2θ = 21.50°, d = 4.133 Å, rel. 12, (2 0 1); 2θ = 22.53°, d = 3.946 Å, rel. 33, (0 2 1); 2θ = 25.73°, d = 3.463 Å, rel. 27, (4 0 -1); 2θ = 25.93°, d = 3.437 Å, rel. 12, (2 2 1); 2θ = 26.14°, d = 3.408 Å, rel. 16, (3 1 1); 2θ = 33.85°, d = 2.648 Å, rel. 20, (0 4 1)

Atomic structure:
```
data_FeP4O12
_chemical_formula_sum 'Fe4 P16 O48'
_cell_length_a 16.829
_cell_length_b 12.373
_cell_length_c 5.168
_cell_angle_alpha 90.00
_cell_angle_beta 97.48
_cell_angle_gamma 90.00
_space_group_name_H-M_alt 'C 1 2/m 1'
_space_group_IT_number 12
_space_group_name_Hall '-C 2y'
loop_
_atom_site_label
_atom_site_type_symbol
_atom_site_fract_x
_atom_site_fract_y
_atom_site_fract_z
Fe1 Fe 0.250 0.250 0.000
P1 P 0.073 0.215 0.187
P2 P 0.178 0.379 0.470
O1 O 0.000 0.269 0.000
O2 O 0.049 0.119 0.336
O3 O 0.095 0.317 0.377
O4 O 0.141 0.192 0.030
O5 O 0.148 0.500 0.399
O6 O 0.198 0.369 0.760
O7 O 0.242 0.347 0.304
```